[1]
# PrCuSn2Ge
Calculated powder X-ray diffraction pattern, Cu Kα (λ = 1.5418 Å). Input: a cell relaxed with GGA-PBE.
No peak broadening, texture or thermal motion is included.

Atomic structure:
a = 11.751 Å, b = 11.751 Å, c = 4.476 Å
α = 90.00°, β = 90.00°, γ = 157.72°
Fractional coordinates of all 10 atoms:
Pr 0.175 0.825 0.000
Pr 0.825 0.175 0.000
Cu 0.378 0.622 0.500
Cu 0.622 0.378 0.500
Sn 0.062 0.938 0.500
Sn 0.438 0.562 0.000
Sn 0.562 0.438 0.000
Sn 0.938 0.062 0.500
Ge 0.276 0.724 0.500
Ge 0.724 0.276 0.500

Most intense lines, 2θ = 15–90°, in order of rising 2θ:
2θ 30.36, d = 2.944 Å, I = 100; 2θ 30.66, d = 2.916 Å, I = 17; 2θ 31.03, d = 2.882 Å, I = 17; 2θ 34.20, d = 2.622 Å, I = 27; 2θ 39.33, d = 2.291 Å, I = 24; 2θ 39.71, d = 2.270 Å, I = 34; 2θ 40.30, d = 2.238 Å, I = 33; 2θ 45.42, d = 1.997 Å, I = 18; 2θ 57.86, d = 1.594 Å, I = 23; 2θ 67.14, d = 1.394 Å, I = 22

---

[2]
# Cu5NiAs2
Calculated powder X-ray diffraction pattern, Cu Kα (λ = 1.5418 Å). Input: a cell relaxed with GGA-PBE.
No peak broadening, texture or thermal motion is included.

Atomic structure:
a = 4.180 Å, b = 4.180 Å, c = 5.909 Å
α = 90.00°, β = 90.00°, γ = 90.00°
Fractional coordinates of all 8 atoms:
Cu 0.000 0.000 0.000
Cu 0.000 0.500 0.250
Cu 0.000 0.500 0.750
Cu 0.500 0.000 0.250
Cu 0.500 0.000 0.750
Ni 0.500 0.500 0.500
As 0.000 0.000 0.500
As 0.500 0.500 0.000

Most intense lines, 2θ = 15–90°, in order of rising 2θ:
2θ 43.30, d = 2.090 Å, I = 100; 2θ 62.90, d = 1.478 Å, I = 15; 2θ 79.43, d = 1.206 Å, I = 30

---

[3]
# Sc2Cd3Mo4N3
Calculated powder X-ray diffraction pattern, Cu Kα (λ = 1.5418 Å). Input: a cell relaxed with GGA-PBE.
No peak broadening, texture or thermal motion is included.

Atomic structure:
a = 5.574 Å, b = 5.574 Å, c = 13.993 Å
α = 100.99°, β = 100.99°, γ = 60.35°
Fractional coordinates of all 24 atoms:
Sc 0.030 0.865 0.596
Sc 0.135 0.970 0.904
Sc 0.865 0.030 0.096
Sc 0.970 0.135 0.404
Cd 0.079 0.334 0.748
Cd 0.334 0.079 0.248
Cd 0.494 0.506 0.750
Cd 0.506 0.494 0.250
Cd 0.666 0.921 0.752
Cd 0.921 0.666 0.252
Mo 0.194 0.366 0.069
Mo 0.322 0.462 0.431
Mo 0.366 0.194 0.569
Mo 0.462 0.322 0.931
Mo 0.538 0.678 0.069
Mo 0.634 0.806 0.431
Mo 0.678 0.538 0.569
Mo 0.806 0.634 0.931
N 0.000 0.500 0.500
N 0.153 0.695 0.000
N 0.305 0.847 0.500
N 0.500 0.000 0.000
N 0.695 0.153 0.500
N 0.847 0.305 0.000

Most intense lines, 2θ = 15–90°, in order of rising 2θ:
2θ 18.43, d = 4.814 Å, I = 20; 2θ 18.87, d = 4.704 Å, I = 12; 2θ 26.12, d = 3.412 Å, I = 11; 2θ 31.94, d = 2.802 Å, I = 11; 2θ 32.12, d = 2.787 Å, I = 18; 2θ 37.71, d = 2.386 Å, I = 100; 2θ 38.00, d = 2.368 Å, I = 47; 2θ 39.62, d = 2.275 Å, I = 27; 2θ 57.03, d = 1.615 Å, I = 14; 2θ 70.46, d = 1.336 Å, I = 12

---

[4]
# Tm3AlZn2Cu3
Calculated powder X-ray diffraction pattern, Cu Kα (λ = 1.5418 Å). Input: a cell relaxed with GGA-PBE.
No peak broadening, texture or thermal motion is included.

Atomic structure:
a = 3.822 Å, b = 7.050 Å, c = 7.050 Å
α = 120.31°, β = 90.00°, γ = 90.00°
Fractional coordinates of all 9 atoms:
Tm 0.000 0.000 0.000
Tm 0.000 0.180 0.597
Tm 0.000 0.597 0.180
Al 0.500 0.354 0.354
Zn 0.500 0.591 0.837
Zn 0.500 0.837 0.591
Cu 0.000 0.588 0.588
Cu 0.500 0.260 0.934
Cu 0.500 0.934 0.260

Most intense lines, 2θ = 15–90°, in order of rising 2θ:
2θ 25.27, d = 3.525 Å, I = 17; 2θ 29.35, d = 3.043 Å, I = 18; 2θ 34.66, d = 2.588 Å, I = 100; 2θ 37.68, d = 2.387 Å, I = 40; 2θ 37.79, d = 2.380 Å, I = 48; 2θ 39.05, d = 2.307 Å, I = 29; 2θ 44.67, d = 2.029 Å, I = 15; 2θ 47.59, d = 1.911 Å, I = 22; 2θ 63.19, d = 1.472 Å, I = 14; 2θ 71.80, d = 1.315 Å, I = 13

---

[5]
# NaPmSc
Calculated powder X-ray diffraction pattern, Cu Kα (λ = 1.5418 Å). Input: a cell relaxed with GGA-PBE.
No peak broadening, texture or thermal motion is included.

Atomic structure:
a = 5.207 Å, b = 5.207 Å, c = 5.207 Å
α = 60.00°, β = 60.00°, γ = 60.00°
Fractional coordinates of all 3 atoms:
Na 0.000 0.000 0.000
Pm 0.750 0.750 0.750
Sc 0.250 0.250 0.250

Most intense lines, 2θ = 15–90°, in order of rising 2θ:
2θ 20.90, d = 4.251 Å, I = 54; 2θ 24.17, d = 3.682 Å, I = 75; 2θ 34.45, d = 2.603 Å, I = 100; 2θ 40.64, d = 2.220 Å, I = 30; 2θ 42.53, d = 2.126 Å, I = 22; 2θ 49.52, d = 1.841 Å, I = 17; 2θ 55.84, d = 1.647 Å, I = 29; 2θ 61.71, d = 1.503 Å, I = 35; 2θ 77.83, d = 1.227 Å, I = 14; 2θ 82.93, d = 1.164 Å, I = 15

---

[6]
# Cs2TeWS2
Calculated powder X-ray diffraction pattern, Cu Kα (λ = 1.5418 Å). Input: a cell relaxed with GGA-PBE.
No peak broadening, texture or thermal motion is included.

Atomic structure:
a = 8.186 Å, b = 8.186 Å, c = 10.598 Å
α = 121.15°, β = 121.15°, γ = 54.65°
Fractional coordinates of all 12 atoms:
Cs 0.072 0.072 0.358
Cs 0.278 0.278 0.166
Cs 0.722 0.722 0.834
Cs 0.928 0.928 0.642
Te 0.396 0.396 0.599
Te 0.604 0.604 0.401
W 0.396 0.396 0.847
W 0.604 0.604 0.153
S 0.219 0.219 0.781
S 0.261 0.739 0.000
S 0.739 0.261 0.000
S 0.781 0.781 0.219

Most intense lines, 2θ = 15–90°, in order of rising 2θ:
2θ 22.66, d = 3.924 Å, I = 36; 2θ 23.08, d = 3.853 Å, I = 56; 2θ 23.68, d = 3.758 Å, I = 100; 2θ 25.39, d = 3.508 Å, I = 48; 2θ 25.53, d = 3.489 Å, I = 63; 2θ 33.00, d = 2.714 Å, I = 41; 2θ 35.01, d = 2.563 Å, I = 38; 2θ 35.10, d = 2.557 Å, I = 27; 2θ 40.20, d = 2.243 Å, I = 31; 2θ 47.18, d = 1.926 Å, I = 29

---

[7]
# DyCu3As2
Calculated powder X-ray diffraction pattern, Cu Kα (λ = 1.5418 Å). Input: a cell relaxed with GGA-PBE.
No peak broadening, texture or thermal motion is included.

Atomic structure:
a = 4.121 Å, b = 4.121 Å, c = 6.665 Å
α = 90.00°, β = 90.00°, γ = 120.00°
Fractional coordinates of all 6 atoms:
Dy 0.000 0.000 0.000
Cu 0.000 0.000 0.500
Cu 0.333 0.667 0.352
Cu 0.667 0.333 0.648
As 0.333 0.667 0.749
As 0.667 0.333 0.251

Most intense lines, 2θ = 15–90°, in order of rising 2θ:
2θ 24.95, d = 3.569 Å, I = 8; 2θ 28.37, d = 3.146 Å, I = 31; 2θ 36.90, d = 2.436 Å, I = 100; 2θ 43.94, d = 2.061 Å, I = 69; 2θ 48.25, d = 1.886 Å, I = 12; 2θ 58.69, d = 1.573 Å, I = 25; 2θ 61.38, d = 1.510 Å, I = 18; 2θ 73.02, d = 1.296 Å, I = 8; 2θ 76.13, d = 1.250 Å, I = 23; 2θ 80.78, d = 1.190 Å, I = 11

---

[8]
# Nd2SmAl7Cu2
Calculated powder X-ray diffraction pattern, Cu Kα (λ = 1.5418 Å). Input: a cell relaxed with GGA-PBE.
No peak broadening, texture or thermal motion is included.

Atomic structure:
a = 9.182 Å, b = 9.182 Å, c = 9.182 Å
α = 35.32°, β = 35.32°, γ = 35.32°
Fractional coordinates of all 12 atoms:
Nd 0.142 0.142 0.142
Nd 0.858 0.858 0.858
Sm 0.000 0.000 0.000
Al 0.072 0.580 0.580
Al 0.420 0.420 0.928
Al 0.420 0.928 0.420
Al 0.500 0.500 0.500
Al 0.580 0.072 0.580
Al 0.580 0.580 0.072
Al 0.928 0.420 0.420
Cu 0.335 0.335 0.335
Cu 0.665 0.665 0.665

Most intense lines, 2θ = 15–90°, in order of rising 2θ:
2θ 18.71, d = 4.743 Å, I = 36; 2θ 20.66, d = 4.300 Å, I = 29; 2θ 30.52, d = 2.929 Å, I = 47; 2θ 32.13, d = 2.786 Å, I = 86; 2θ 33.42, d = 2.681 Å, I = 32; 2θ 37.44, d = 2.402 Å, I = 27; 2θ 38.51, d = 2.338 Å, I = 100; 2θ 61.56, d = 1.506 Å, I = 25; 2θ 63.55, d = 1.464 Å, I = 27; 2θ 67.21, d = 1.393 Å, I = 19